No. 1
Structure and calculated powder diffractogram of KBi3S5 (a crystal structure in the Materials Project, relaxed with GGA-PBE; Cu Kα, 1.54184 Å).

Top 6 peaks for 2θ = 15–90°, low angle first:
| h k l | 2θ/deg | d_spacing | Rel. int. |
| --- | --- | --- | --- |
| 1 1 2 | 24.5 | 3.631 | 54.1 |
| 0 1 3 | 26.5 | 3.359 | 48.5 |
| 4 1 0 | 30.3 | 2.954 | 59.6 |
| 4 1 1 | 30.7 | 2.913 | 100.0 |
| 1 0 6 | 31.2 | 2.870 | 62.5 |
| 3 1 7 | 45.4 | 1.996 | 43.9 |

```
data_KBi3S5
_chemical_formula_sum 'K4 Bi12 S20'
_cell_length_a 16.9891
_cell_length_b 4.1127
_cell_length_c 17.4715
_cell_angle_alpha 90.00
_cell_angle_beta 90.00
_cell_angle_gamma 90.00
_symmetry_space_group_name_H-M 'P n m a'
_symmetry_Int_Tables_number 62
loop_
_symmetry_equiv_pos_as_xyz
'x,y,z'
'-x,-y,-z'
'-x+1/2,-y,z+1/2'
'x+1/2,y,-z+1/2'
'x+1/2,-y+1/2,-z+1/2'
'-x+1/2,y+1/2,z+1/2'
'-x,y+1/2,-z'
'x,-y+1/2,z'
loop_
_atom_site_label
_atom_site_fract_x
_atom_site_fract_y
_atom_site_fract_z
K1 0.0007 0.2500 0.2099
Bi1 0.0835 0.7500 0.4313
Bi2 0.1600 0.2500 0.6244
Bi3 0.2393 0.2500 0.2901
S1 0.0388 0.7500 0.5999
S2 0.1250 0.7500 0.2807
S3 0.1439 0.2500 0.7831
S4 0.1877 0.2500 0.4607
S5 0.2309 0.2500 0.1373
```

No. 2
Structure and calculated powder diffractogram of MgSi2 (a crystal structure in the Materials Project, relaxed with GGA-PBE; Cu Kα, 1.54184 Å).

Top 6 peaks for 2θ = 15–90°, low angle first:
| h k l | 2θ/deg | d_spacing | Rel. int. |
| --- | --- | --- | --- |
| 1 0 1 | 28.1 | 3.171 | 83.8 |
| 1 0 4 | 37.4 | 2.402 | 46.8 |
| 0 1 5 | 42.2 | 2.143 | 100.0 |
| 1 1 0 | 48.5 | 1.878 | 65.9 |
| 2 0 5 | 66.2 | 1.412 | 25.3 |
| 1 2 5 | 86.2 | 1.129 | 24.7 |

```
data_MgSi2
_chemical_formula_sum 'Mg3 Si6'
_cell_length_a 3.7552
_cell_length_b 3.7552
_cell_length_c 14.2456
_cell_angle_alpha 90.00
_cell_angle_beta 90.00
_cell_angle_gamma 120.00
_symmetry_space_group_name_H-M 'R -3 m'
_symmetry_Int_Tables_number 166
_symmetry_space_group_name_Hall '-R 3 2"'
loop_
_atom_site_label
_atom_site_fract_x
_atom_site_fract_y
_atom_site_fract_z
Mg1 0.0000 0.0000 0.0000
Si1 0.0000 0.0000 0.2029
```